1.
Structure and simulated PXRD pattern of Sm2PtI (a crystal structure in Alexandria, relaxed with PBE; CuKα).

```
Sm2PtI
1.0
4.229 0.000 0.000
-2.115 3.663 0.000
0.000 0.000 24.056
Sm Pt I
6 3 3
direct
0.000 0.000 0.229 Sm
0.000 0.000 0.771 Sm
0.333 0.667 0.438 Sm
0.333 0.667 0.895 Sm
0.667 0.333 0.105 Sm
0.667 0.333 0.562 Sm
0.000 0.000 0.500 Pt
0.333 0.667 0.167 Pt
0.667 0.333 0.833 Pt
0.000 0.000 0.000 I
0.333 0.667 0.667 I
0.667 0.333 0.333 I
```

Principal peaks in the range 5 to 70 degrees two-theta, by angle:
2θ (°)	I (rel.)	h k l
11.0	292	0 0 3
28.5	1000	1 0 4
35.8	159	1 0 7
38.7	283	0 1 8
42.8	387	1 1 0
44.3	64	1 1 3
48.5	95	0 1 11
52.2	188	0 2 4
59.1	83	2 0 8
59.4	65	0 1 14
64.0	57	1 1 12
69.7	158	2 1 4

2.
Structure and simulated PXRD pattern of Na3LiTl4 (a crystal structure in Alexandria, relaxed with PBE; CuKα).

```
Na3LiTl4
1.0
3.511 0.000 0.000
0.000 3.511 0.000
0.000 0.000 17.138
Na Li Tl
3 1 4
direct
0.000 0.000 0.000 Na
0.000 0.000 0.268 Na
0.000 0.000 0.732 Na
0.000 0.000 0.500 Li
0.500 0.500 0.134 Tl
0.500 0.500 0.399 Tl
0.500 0.500 0.601 Tl
0.500 0.500 0.866 Tl
```

Principal peaks in the range 5 to 70 degrees two-theta, by angle:
2θ (°)	I (rel.)	h k l
20.7	516	0 0 4
25.4	803	1 0 0
33.0	1000	1 0 4
36.2	483	1 1 0
42.1	344	1 1 4
45.1	154	1 0 7
52.1	172	2 0 0
52.5	126	1 1 7
56.7	253	2 0 4
58.8	166	2 1 0
63.1	314	2 1 4
65.6	134	1 0 11